(1)
For TiAg2I6O18, a structure optimized by DFT (PBE) gives the simulated powder diffractogram in this record (Cu Kα (weighted mean of Kα1 and Kα2)).

Most intense lines, 2θ = 10–90°, low angle first:
2θ = 24.10°, 3.692 Å, intensity 45
2θ = 25.74°, 3.461 Å, intensity 46
2θ = 27.89°, 3.199 Å, intensity 50
2θ = 28.21°, 3.164 Å, intensity 100
2θ = 34.58°, 2.594 Å, intensity 43
2θ = 40.09°, 2.249 Å, intensity 27
2θ = 44.01°, 2.058 Å, intensity 16
2θ = 49.53°, 1.840 Å, intensity 15
2θ = 50.10°, 1.821 Å, intensity 41
2θ = 50.96°, 1.792 Å, intensity 13
2θ = 52.41°, 1.746 Å, intensity 12
2θ = 60.22°, 1.537 Å, intensity 15

Structure:
Cell lengths 7.469, 7.469, 7.469 Å; angles 95.78, 95.78, 95.78 degrees
Fractional positions:
Ti (0.000, 0.000, 0.000)
Ag (0.321, 0.321, 0.321)
Ag (0.679, 0.679, 0.679)
I (0.166, 0.780, 0.375)
I (0.220, 0.625, 0.834)
I (0.375, 0.166, 0.780)
I (0.625, 0.834, 0.220)
I (0.780, 0.375, 0.166)
I (0.834, 0.220, 0.625)
O (0.063, 0.811, 0.821)
O (0.135, 0.572, 0.216)
O (0.179, 0.937, 0.189)
O (0.188, 0.565, 0.587)
O (0.189, 0.179, 0.937)
O (0.216, 0.135, 0.572)
O (0.413, 0.812, 0.435)
O (0.428, 0.784, 0.865)
O (0.435, 0.413, 0.812)
O (0.565, 0.587, 0.188)
O (0.572, 0.216, 0.135)
O (0.587, 0.188, 0.565)
O (0.784, 0.865, 0.428)
O (0.811, 0.821, 0.063)
O (0.812, 0.435, 0.413)
O (0.821, 0.063, 0.811)
O (0.865, 0.428, 0.784)
O (0.937, 0.189, 0.179)

=====

(2)
For CaSiO3, a structure optimized by DFT (PBE) gives the simulated powder diffractogram in this record (Cu Kα (weighted mean of Kα1 and Kα2)).

Most intense lines, 2θ = 10–90°, low angle first:
2θ = 24.68°, 3.608 Å, intensity 1
2θ = 35.18°, 2.551 Å, intensity 100
2θ = 43.44°, 2.083 Å, intensity 45
2θ = 50.60°, 1.804 Å, intensity 75
2θ = 63.12°, 1.473 Å, intensity 36
2θ = 74.36°, 1.276 Å, intensity 39
2θ = 85.02°, 1.141 Å, intensity 16

Structure:
Cell lengths 3.608, 3.608, 3.608 Å; angles 90.00, 90.00, 90.00 degrees
Fractional positions:
Ca (0.000, 0.000, 0.000)
Si (0.500, 0.500, 0.500)
O (0.000, 0.500, 0.500)
O (0.500, 0.000, 0.500)
O (0.500, 0.500, 0.000)